[1]
Simulated powder diffraction line list of Mn7Fe3 for Cu Kα (λ = 1.5418 Å), from the PBE geometry in the Materials Project.

Top 6 peaks for 10 to 80 degrees two-theta, by intensity:
2.019 Å, 44.88°, I = 100.0
1.913 Å, 47.53°, I = 38.8
1.918 Å, 47.40°, I = 28.1
1.827 Å, 49.90°, I = 24.5
2.014 Å, 45.01°, I = 20.0
1.823 Å, 50.04°, I = 12.2

Structure:
```
Mn7Fe3
1.0
6.049 0.000 0.000
0.000 6.069 0.000
-0.020 0.000 6.050
Mn Fe
14 6
Cartesian
0.304 0.000 0.299
0.756 1.973 1.796
1.162 5.673 2.676
1.211 3.481 3.791
1.818 4.106 0.738
2.245 5.626 4.847
2.705 1.526 3.342
3.324 4.560 2.708
3.783 2.592 1.203
4.211 1.071 5.312
4.818 0.447 2.258
4.867 2.639 3.374
5.273 5.008 4.254
5.725 3.035 5.751
0.333 1.120 4.181
1.835 1.919 5.693
2.663 0.395 1.184
3.366 3.429 4.866
4.194 4.953 0.357
5.696 4.155 1.869
```

[2]
Simulated powder diffraction line list of MnFe10N8 for Cu Kα (λ = 1.5418 Å), from the PBE geometry in the Materials Project.

Top 6 peaks for 10 to 80 degrees two-theta, by intensity:
2.356 Å, 38.20°, I = 100.0
2.232 Å, 40.41°, I = 98.2
1.911 Å, 47.58°, I = 59.8
2.028 Å, 44.69°, I = 58.5
2.021 Å, 44.85°, I = 50.1
1.391 Å, 67.32°, I = 29.4

Structure:
```
MnFe10N8
1.0
7.600 -1.911 0.000
7.600 1.911 0.000
-1.966 0.000 5.953
Mn Fe N
1 10 8
Cartesian
0.000 0.000 0.000
0.560 0.000 2.826
0.831 0.000 5.457
3.377 0.000 2.053
3.756 0.000 5.039
6.884 0.000 1.669
6.350 0.000 4.284
9.478 0.000 0.914
9.856 0.000 3.900
12.403 0.000 0.495
12.674 0.000 3.127
-0.809 0.000 4.291
1.674 0.000 1.156
4.461 0.000 0.546
4.757 0.000 3.301
8.477 0.000 2.652
8.773 0.000 5.407
11.560 0.000 4.797
14.043 0.000 1.662
```

[3]
Simulated powder diffraction line list of Mn2FeN2 for Cu Kα (λ = 1.5418 Å), from the PBE geometry in the Materials Project.

Top 6 peaks for 10 to 80 degrees two-theta, by intensity:
2.674 Å, 33.51°, I = 100.0
2.270 Å, 39.71°, I = 82.0
2.026 Å, 44.72°, I = 73.4
2.038 Å, 44.45°, I = 68.0
3.407 Å, 26.15°, I = 62.6
1.891 Å, 48.11°, I = 50.6

Structure:
```
Mn2FeN2
1.0
3.216 -3.103 0.000
3.216 3.103 0.000
0.000 0.000 5.271
Mn Fe N
4 2 4
Cartesian
1.192 0.972 0.000
1.192 -0.972 2.635
5.239 0.972 0.000
5.239 -0.972 2.635
3.216 0.185 1.488
3.216 -0.185 4.124
1.431 0.627 1.770
1.431 -0.627 4.406
5.001 0.627 1.770
5.001 -0.627 4.406
```

[4]
Simulated powder diffraction line list of Mn2FeN2 for Cu Kα (λ = 1.5418 Å), from the PBE geometry in the Materials Project.

Top 6 peaks for 10 to 80 degrees two-theta, by intensity:
2.284 Å, 39.46°, I = 100.0
2.018 Å, 44.91°, I = 65.3
1.385 Å, 67.66°, I = 27.1
1.210 Å, 79.13°, I = 23.4
1.903 Å, 47.79°, I = 22.4
1.427 Å, 65.39°, I = 19.9

Structure:
```
Mn2FeN2
1.0
2.855 0.000 0.000
0.000 11.420 0.000
0.000 0.000 2.854
Mn Fe N
4 2 4
Cartesian
0.714 1.124 0.696
0.714 4.586 0.696
2.141 6.835 2.158
2.141 10.296 2.158
0.714 8.565 0.746
2.141 2.855 2.108
0.714 6.710 0.731
0.714 10.421 0.731
2.141 0.999 2.123
2.141 4.711 2.123
```

[5]
Simulated powder diffraction line list of MnFe2N2 for Cu Kα (λ = 1.5418 Å), from the PBE geometry in the Materials Project.

Top 6 peaks for 10 to 80 degrees two-theta, by intensity:
2.329 Å, 38.67°, I = 100.0
1.961 Å, 46.31°, I = 98.5
1.447 Å, 64.38°, I = 33.4
2.098 Å, 43.11°, I = 26.1
1.333 Å, 70.68°, I = 22.5
1.229 Å, 77.69°, I = 11.6

Structure:
```
MnFe2N2
1.0
2.894 0.000 0.000
-1.447 2.506 0.000
0.000 0.000 6.294
Mn Fe N
1 2 2
Cartesian
0.000 0.000 0.000
0.000 1.671 2.095
1.447 0.835 4.200
0.000 1.671 4.993
1.447 0.835 1.302
```